[1]
# TmGa2Au4
Simulated powder XRD pattern, Cu Ka. Input: the PBE geometry in Alexandria.
Peak positions follow from Bragg's law for the DFT cell and can differ from measured ones.

Most intense lines, 2θ from 5° to 70°, by angle:
- 28.6 deg, I 14
- 34.6 deg, I 100
- 35.1 deg, I 54
- 36.8 deg, I 25
- 38.0 deg, I 21
- 40.3 deg, I 15
- 40.9 deg, I 51
- 42.2 deg, I 18
- 57.1 deg, I 13
- 60.3 deg, I 13
- 66.2 deg, I 17
- 67.2 deg, I 13

Cell lengths 17.6263, 4.4089, 6.8978 Å; angles 90.00, 90.00, 90.00 degrees
Fractional positions:
Tm1 0.1405 0.2500 0.0088
Tm2 0.3595 0.7500 0.5088
Tm3 0.6405 0.2500 0.4912
Tm4 0.8595 0.7500 0.9912
Ga1 0.0399 0.7500 0.2683
Ga2 0.2262 0.2500 0.4974
Ga3 0.2738 0.7500 0.9974
Ga4 0.4601 0.2500 0.7683
Ga5 0.5399 0.7500 0.2317
Ga6 0.7262 0.2500 0.0026
Ga7 0.7738 0.7500 0.5026
Ga8 0.9601 0.2500 0.7317
Au1 0.0291 0.7500 0.8663
Au2 0.0778 0.2500 0.4976
Au3 0.1766 0.7500 0.7112
Au4 0.1875 0.7500 0.2934
Au5 0.3125 0.2500 0.7934
Au6 0.3234 0.2500 0.2112
Au7 0.4222 0.7500 0.9976
Au8 0.4709 0.2500 0.3663
Au9 0.5291 0.7500 0.6337
Au10 0.5778 0.2500 0.0024
Au11 0.6766 0.7500 0.7888
Au12 0.6875 0.7500 0.2066
Au13 0.8125 0.2500 0.7066
Au14 0.8234 0.2500 0.2888
Au15 0.9222 0.7500 0.5024
Au16 0.9709 0.2500 0.1337



[2]
# Tm3Ga8Au3
Simulated powder XRD pattern, Cu Ka. Input: the PBE geometry in Alexandria.
Peak positions follow from Bragg's law for the DFT cell and can differ from measured ones.

Most intense lines, 2θ from 5° to 70°, by angle:
- 11.5 deg, I 12
- 14.0 deg, I 12
- 28.6 deg, I 18
- 35.0 deg, I 100
- 37.2 deg, I 8
- 37.6 deg, I 23
- 41.9 deg, I 25
- 42.8 deg, I 17
- 45.3 deg, I 8
- 47.5 deg, I 8
- 58.5 deg, I 7
- 61.5 deg, I 11

Cell lengths 8.2582, 8.2582, 8.2582 Å; angles 149.73, 108.28, 79.79 degrees
Fractional positions:
Tm1 0.0000 0.0000 0.0000
Tm2 0.3085 0.3085 0.0000
Tm3 0.6915 0.6915 0.0000
Ga1 0.0357 0.6630 0.3727
Ga2 0.1394 0.8589 0.2805
Ga3 0.2903 0.6630 0.6273
Ga4 0.4216 0.1411 0.2805
Ga5 0.5784 0.8589 0.7195
Ga6 0.7097 0.3370 0.3727
Ga7 0.8606 0.1411 0.7195
Ga8 0.9643 0.3370 0.6273
Au1 0.2915 0.5000 0.7915
Au2 0.5000 0.0000 0.5000
Au3 0.7085 0.5000 0.2085



[3]
# Tm2Ga3Au2
Simulated powder XRD pattern, Cu Ka. Input: the PBE geometry in Alexandria.
Peak positions follow from Bragg's law for the DFT cell and can differ from measured ones.

Most intense lines, 2θ from 5° to 70°, by angle:
- 22.5 deg, I 27
- 29.2 deg, I 42
- 33.1 deg, I 18
- 34.0 deg, I 56
- 34.8 deg, I 100
- 37.2 deg, I 18
- 37.4 deg, I 27
- 37.8 deg, I 73
- 40.1 deg, I 41
- 41.7 deg, I 50
- 51.7 deg, I 18
- 53.3 deg, I 17

Cell lengths 5.6717, 5.6717, 6.6764 Å; angles 111.60, 111.60, 44.86 degrees
Fractional positions:
Tm1 0.1465 0.1465 0.2779
Tm2 0.8535 0.8535 0.7221
Ga1 0.4045 0.4045 0.0716
Ga2 0.5000 0.5000 0.5000
Ga3 0.5955 0.5955 0.9284
Au1 0.1568 0.1568 0.7387
Au2 0.8432 0.8432 0.2613



[4]
# TmZn2GaAu5
Simulated powder XRD pattern, Cu Ka. Input: the PBE geometry in Alexandria.
Peak positions follow from Bragg's law for the DFT cell and can differ from measured ones.

Most intense lines, 2θ from 5° to 70°, by angle:
- 26.7 deg, I 100
- 34.1 deg, I 24
- 37.4 deg, I 62
- 37.6 deg, I 46
- 38.7 deg, I 34
- 41.0 deg, I 41
- 41.8 deg, I 26
- 51.7 deg, I 15
- 55.1 deg, I 25
- 56.9 deg, I 31
- 59.9 deg, I 23
- 67.8 deg, I 12

Cell lengths 7.9026, 7.9026, 7.9026 Å; angles 144.77, 137.95, 55.99 degrees
Fractional positions:
Tm1 0.0000 0.0000 0.0000
Zn1 0.3132 0.8132 0.5000
Zn2 0.6868 0.1868 0.5000
Ga1 0.5000 0.5000 0.0000
Au1 0.0870 0.3465 0.7406
Au2 0.3941 0.6535 0.7406
Au3 0.5000 0.0000 0.5000
Au4 0.6059 0.3465 0.2594
Au5 0.9130 0.6535 0.2594



[5]
# U2Ga7Au12
Simulated powder XRD pattern, Cu Ka. Input: the PBE geometry in Alexandria.
Peak positions follow from Bragg's law for the DFT cell and can differ from measured ones.

Most intense lines, 2θ from 5° to 70°, by angle:
- 25.7 deg, I 9
- 33.6 deg, I 100
- 36.4 deg, I 7
- 39.3 deg, I 9
- 41.6 deg, I 8
- 43.0 deg, I 14
- 43.2 deg, I 16
- 45.1 deg, I 7
- 45.4 deg, I 16
- 57.6 deg, I 7
- 62.6 deg, I 7
- 64.5 deg, I 9

Cell lengths 10.5780, 10.5780, 4.1857 Å; angles 90.00, 90.00, 120.00 degrees
Fractional positions:
U1 0.3333 0.6667 0.2418
U2 0.6667 0.3333 0.7582
Ga1 0.0000 0.0000 0.5000
Ga2 0.1061 0.7037 0.7267
Ga3 0.2963 0.4024 0.7267
Ga4 0.4024 0.1061 0.2733
Ga5 0.5976 0.8939 0.7267
Ga6 0.7037 0.5976 0.2733
Ga7 0.8939 0.2963 0.2733
Au1 0.0800 0.4517 0.7619
Au2 0.1278 0.2596 0.2238
Au3 0.1318 0.8722 0.2238
Au4 0.2596 0.1318 0.7762
Au5 0.3717 0.9200 0.7619
Au6 0.4517 0.3717 0.2381
Au7 0.5483 0.6283 0.7619
Au8 0.6283 0.0800 0.2381
Au9 0.7404 0.8682 0.2238
Au10 0.8682 0.1278 0.7762
Au11 0.8722 0.7404 0.7762
Au12 0.9200 0.5483 0.2381



[6]
# U3Ga2Au4
Simulated powder XRD pattern, Cu Ka. Input: the PBE geometry in Alexandria.
Peak positions follow from Bragg's law for the DFT cell and can differ from measured ones.

Most intense lines, 2θ from 5° to 70°, by angle:
- 12.1 deg, I 4
- 19.4 deg, I 7
- 21.1 deg, I 7
- 28.8 deg, I 5
- 36.0 deg, I 4
- 37.0 deg, I 100
- 37.2 deg, I 99
- 53.5 deg, I 36
- 63.1 deg, I 7
- 66.6 deg, I 12
- 66.8 deg, I 31
- 66.9 deg, I 12

Cell lengths 8.4224, 8.4224, 5.8937 Å; angles 90.00, 90.00, 120.12 degrees
Fractional positions:
U1 0.0000 0.0000 0.2500
U2 0.0000 0.0000 0.7500
U3 0.3344 0.6656 0.2500
U4 0.3344 0.6656 0.7500
U5 0.6656 0.3344 0.2500
U6 0.6656 0.3344 0.7500
Ga1 0.0007 0.6633 0.0000
Ga2 0.3367 0.9993 0.5000
Ga3 0.6633 0.0007 0.5000
Ga4 0.9993 0.3367 0.0000
Au1 0.0053 0.6725 0.5000
Au2 0.3266 0.3343 0.0000
Au3 0.3275 0.9947 0.0000
Au4 0.3343 0.3266 0.5000
Au5 0.6657 0.6734 0.5000
Au6 0.6725 0.0053 0.0000
Au7 0.6734 0.6657 0.0000
Au8 0.9947 0.3275 0.5000



[7]
# U3Ga4Au2
Simulated powder XRD pattern, Cu Ka. Input: the PBE geometry in Alexandria.
Peak positions follow from Bragg's law for the DFT cell and can differ from measured ones.

Most intense lines, 2θ from 5° to 70°, by angle:
- 19.7 deg, I 15
- 21.2 deg, I 22
- 36.9 deg, I 96
- 37.3 deg, I 47
- 38.0 deg, I 50
- 38.1 deg, I 100
- 53.9 deg, I 19
- 54.3 deg, I 37
- 67.0 deg, I 17
- 67.2 deg, I 19
- 67.4 deg, I 20
- 67.8 deg, I 19

Cell lengths 8.3817, 8.3817, 5.7179 Å; angles 90.00, 90.00, 119.41 degrees
Fractional positions:
U1 0.0000 0.0000 0.2500
U2 0.0000 0.0000 0.7500
U3 0.3392 0.6608 0.2500
U4 0.3392 0.6608 0.7500
U5 0.6608 0.3392 0.2500
U6 0.6608 0.3392 0.7500
Ga1 0.0024 0.6637 0.0000
Ga2 0.3257 0.3280 0.0000
Ga3 0.3280 0.3257 0.5000
Ga4 0.3363 0.9976 0.5000
Ga5 0.6637 0.0024 0.5000
Ga6 0.6720 0.6743 0.5000
Ga7 0.6743 0.6720 0.0000
Ga8 0.9976 0.3363 0.0000
Au1 0.0036 0.6710 0.5000
Au2 0.3290 0.9964 0.0000
Au3 0.6710 0.0036 0.0000
Au4 0.9964 0.3290 0.5000



[8]
# U2Ga5Au3
Simulated powder XRD pattern, Cu Ka. Input: the PBE geometry in Alexandria.
Peak positions follow from Bragg's law for the DFT cell and can differ from measured ones.

Most intense lines, 2θ from 5° to 70°, by angle:
- 24.9 deg, I 11
- 25.8 deg, I 14
- 34.0 deg, I 21
- 34.3 deg, I 40
- 34.7 deg, I 100
- 37.6 deg, I 32
- 38.0 deg, I 19
- 39.4 deg, I 43
- 53.0 deg, I 19
- 56.0 deg, I 13
- 66.8 deg, I 16
- 68.5 deg, I 14

Cell lengths 12.8330, 12.8330, 6.7547 Å; angles 90.00, 90.00, 159.49 degrees
Fractional positions:
U1 0.0111 0.9889 0.5000
U2 0.3286 0.6714 0.5149
U3 0.6714 0.3286 0.0149
U4 0.9889 0.0111 0.0000
Ga1 0.1065 0.8935 0.8158
Ga2 0.2090 0.7910 0.3136
Ga3 0.2089 0.7911 0.7298
Ga4 0.3814 0.6186 0.9907
Ga5 0.4503 0.5497 0.6959
Ga6 0.5497 0.4503 0.1959
Ga7 0.6186 0.3814 0.4907
Ga8 0.7911 0.2089 0.2298
Ga9 0.7910 0.2090 0.8136
Ga10 0.8935 0.1065 0.3158
Au1 0.1076 0.8924 0.2285
Au2 0.2794 0.7206 0.0232
Au3 0.4454 0.5546 0.2960
Au4 0.5546 0.4454 0.7960
Au5 0.7206 0.2794 0.5232
Au6 0.8924 0.1076 0.7285



- Number 1 is which compound?
  TmGa2Au4